[1]
Starting from DFT lattice parameters and positions (GGA-PBE), the powder X-ray diffraction pattern of Tl2Te2O5 was calculated for Cu Ka.
Intensities are scaled so that the largest is 100.

Cell and atoms:
Lattice parameters (Å, degrees): 7.4940 12.2610 8.7919 90.00 114.04 90.00
Space group P2_1/c (No. 14)
One atom of each set of equivalent atoms:
Tl 0.0248 0.2138 0.2869 (multiplicity 4)
Tl 0.2924 0.5593 0.0220 (multiplicity 4)
Te 0.3003 0.0292 0.0182 (multiplicity 4)
Te 0.4271 0.2017 0.7041 (multiplicity 4)
O 0.2245 0.1274 0.7397 (multiplicity 4)
O 0.2275 0.1721 0.1011 (multiplicity 4)
O 0.3719 0.1490 0.4863 (multiplicity 4)
O 0.3883 0.5443 0.7325 (multiplicity 4)
O 0.4482 0.5957 0.4329 (multiplicity 4)

Principal peaks in the range 10° ≤ 2θ ≤ 80°, in order of rising 2θ:
| d/Å | Position (°2θ) | intensity |
| --- | --- | --- |
| 4.566 | 19.44 | 16 |
| 3.574 | 24.91 | 26 |
| 3.363 | 26.51 | 100 |
| 2.988 | 29.90 | 35 |
| 2.790 | 32.08 | 43 |
| 2.034 | 44.54 | 16 |

=====

[2]
Starting from DFT lattice parameters and positions (GGA-PBE), the powder X-ray diffraction pattern of LiAgF2 was calculated for Cu Ka.
Intensities are scaled so that the largest is 100.

Cell and atoms:
Lattice parameters (Å, degrees): 4.7149 4.7149 9.1887 90.00 90.00 90.00
Space group I4_1/amd (No. 141, origin choice 2)
One atom of each set of equivalent atoms:
Li 0.0000 0.2500 0.3750 (multiplicity 4)
Ag 0.0000 0.2500 0.8750 (multiplicity 4)
F 0.0000 0.2500 0.1648 (multiplicity 8)

Principal peaks in the range 10° ≤ 2θ ≤ 80°, in order of rising 2θ:
| d/Å | Position (°2θ) | intensity |
| --- | --- | --- |
| 4.195 | 21.18 | 100 |
| 2.698 | 33.20 | 47 |
| 2.569 | 34.93 | 54 |
| 2.357 | 38.18 | 57 |
| 2.055 | 44.06 | 29 |
| 1.737 | 52.70 | 30 |

=====

[3]
Starting from DFT lattice parameters and positions (GGA-PBE), the powder X-ray diffraction pattern of GaPt3C was calculated for Cu Ka.
Intensities are scaled so that the largest is 100.

Cell and atoms:
Lattice parameters (Å, degrees): 4.2064 4.2064 4.2064 90.00 90.00 90.00
Space group Pm-3m (No. 221)
One atom of each set of equivalent atoms:
Ga 0.0000 0.0000 0.0000 (multiplicity 1)
Pt 0.0000 0.5000 0.5000 (multiplicity 3)
C 0.5000 0.5000 0.5000 (multiplicity 1)

Principal peaks in the range 10° ≤ 2θ ≤ 80°, in order of rising 2θ:
| d/Å | Position (°2θ) | intensity |
| --- | --- | --- |
| 4.206 | 21.12 | 13 |
| 2.429 | 37.02 | 100 |
| 2.103 | 43.01 | 53 |
| 1.487 | 62.45 | 35 |
| 1.268 | 74.87 | 39 |
| 1.214 | 78.82 | 12 |

=====

[4]
Starting from DFT lattice parameters and positions (GGA-PBE), the powder X-ray diffraction pattern of TbAlCu was calculated for Cu Ka.
Intensities are scaled so that the largest is 100.

Cell and atoms:
Lattice parameters (Å, degrees): 7.0212 7.0212 4.0536 90.00 90.00 120.00
Space group P-62m (No. 189)
One atom of each set of equivalent atoms:
Tb 0.0000 0.4143 0.0000 (multiplicity 3)
Al 0.0000 0.7661 0.5000 (multiplicity 3)
Cu 0.0000 0.0000 0.0000 (multiplicity 1)
Cu 0.3333 0.6667 0.5000 (multiplicity 2)

Principal peaks in the range 10° ≤ 2θ ≤ 80°, in order of rising 2θ:
| d/Å | Position (°2θ) | intensity |
| --- | --- | --- |
| 3.511 | 25.37 | 36 |
| 2.654 | 33.78 | 100 |
| 2.432 | 36.96 | 96 |
| 2.027 | 44.71 | 43 |
| 1.686 | 54.40 | 35 |
| 1.557 | 59.35 | 34 |

=====

[5]
Starting from DFT lattice parameters and positions (GGA-PBE), the powder X-ray diffraction pattern of HfMg6Ga was calculated for Cu Ka.
Intensities are scaled so that the largest is 100.

Cell and atoms:
Lattice parameters (Å, degrees): 4.9036 6.3886 10.9531 90.00 90.00 90.00
Space group Amm2 (No. 38)
One atom of each set of equivalent atoms:
Hf 0.0000 0.0000 0.0000 (multiplicity 2)
Mg 0.0000 0.0000 0.4906 (multiplicity 2)
Mg 0.0000 0.2475 0.2427 (multiplicity 4)
Mg 0.5000 0.0000 0.6567 (multiplicity 2)
Mg 0.5000 0.2492 0.9079 (multiplicity 4)
Ga 0.5000 0.0000 0.1449 (multiplicity 2)

Principal peaks in the range 10° ≤ 2θ ≤ 80°, in order of rising 2θ:
| d/Å | Position (°2θ) | intensity |
| --- | --- | --- |
| 5.518 | 16.06 | 100 |
| 5.477 | 16.18 | 33 |
| 3.660 | 24.32 | 64 |
| 2.662 | 33.67 | 37 |
| 2.405 | 37.40 | 85 |
| 2.391 | 37.62 | 52 |

=====

[6]
Starting from DFT lattice parameters and positions (GGA-PBE), the powder X-ray diffraction pattern of Dy12Ge5S28 was calculated for Cu Ka.
Intensities are scaled so that the largest is 100.

Cell and atoms:
Lattice parameters (Å, degrees): 9.8919 11.4180 11.4243 97.06 115.65 115.66
Space group P1 (No. 1)
One atom of each set of equivalent atoms:
Dy 0.0000 0.0000 0.0000 (multiplicity 1)
Dy 0.0034 0.6581 0.8840 (multiplicity 1)
Dy 0.0482 0.4606 0.5737 (multiplicity 1)
Dy 0.2897 0.4294 0.0709 (multiplicity 1)
Dy 0.3361 0.2312 0.7684 (multiplicity 1)
Dy 0.3393 0.8917 0.6500 (multiplicity 1)
Dy 0.4785 0.1277 0.3723 (multiplicity 1)
Dy 0.5004 0.5123 0.5232 (multiplicity 1)
Dy 0.5161 0.9483 0.0532 (multiplicity 1)
Dy 0.8193 0.9418 0.6000 (multiplicity 1)
Dy 0.8325 0.3742 0.1272 (multiplicity 1)
Dy 0.8504 0.7609 0.2747 (multiplicity 1)
Ge 0.0835 0.1931 0.4078 (multiplicity 1)
Ge 0.3346 0.7749 0.3232 (multiplicity 1)
Ge 0.5849 0.6953 0.9080 (multiplicity 1)
Ge 0.6539 0.4310 0.3115 (multiplicity 1)
Ge 0.8289 0.2754 0.8216 (multiplicity 1)
S 0.0058 0.2012 0.5639 (multiplicity 1)
S 0.0641 0.4378 0.8248 (multiplicity 1)
S 0.0678 0.9383 0.5591 (multiplicity 1)
S 0.1102 0.1462 0.8577 (multiplicity 1)
S 0.1317 0.3933 0.3725 (multiplicity 1)
S 0.1408 0.5843 0.1310 (multiplicity 1)
S 0.2082 0.7260 0.7716 (multiplicity 1)
S 0.2205 0.8932 0.3695 (multiplicity 1)
S 0.2487 0.9322 0.0745 (multiplicity 1)
S 0.3403 0.2756 0.2397 (multiplicity 1)
S 0.3593 0.2352 0.5299 (multiplicity 1)
S 0.3934 0.4975 0.7223 (multiplicity 1)
S 0.4472 0.7410 0.5228 (multiplicity 1)
S 0.5002 0.1086 0.8967 (multiplicity 1)
S 0.5079 0.7002 0.0659 (multiplicity 1)
S 0.5783 0.4391 0.0768 (multiplicity 1)
S 0.5799 0.9300 0.3329 (multiplicity 1)
S 0.6025 0.6181 0.3484 (multiplicity 1)
S 0.6332 0.8933 0.8728 (multiplicity 1)
S 0.6413 0.0842 0.6318 (multiplicity 1)
S 0.7040 0.2376 0.2771 (multiplicity 1)
S 0.7222 0.4036 0.8591 (multiplicity 1)
S 0.7345 0.4236 0.5409 (multiplicity 1)
S 0.8197 0.7617 0.7355 (multiplicity 1)
S 0.8577 0.7335 0.0328 (multiplicity 1)
S 0.8924 0.0082 0.2110 (multiplicity 1)
S 0.9514 0.2400 0.0212 (multiplicity 1)
S 0.9585 0.5868 0.3785 (multiplicity 1)

Principal peaks in the range 10° ≤ 2θ ≤ 80°, in order of rising 2θ:
| d/Å | Position (°2θ) | intensity |
| --- | --- | --- |
| 4.281 | 20.75 | 31 |
| 3.741 | 23.78 | 33 |
| 3.428 | 25.99 | 100 |
| 2.473 | 36.32 | 47 |
| 2.377 | 37.84 | 53 |
| 2.193 | 41.15 | 33 |

=====

[7]
Starting from DFT lattice parameters and positions (GGA-PBE), the powder X-ray diffraction pattern of CaMg6Si was calculated for Cu Ka.
Intensities are scaled so that the largest is 100.

Cell and atoms:
Lattice parameters (Å, degrees): 5.0336 6.1387 11.9813 90.00 90.00 90.00
Space group Amm2 (No. 38)
One atom of each set of equivalent atoms:
Ca 0.0000 0.0000 0.0000 (multiplicity 2)
Mg 0.0000 0.2498 0.2486 (multiplicity 4)
Mg 0.5000 0.0000 0.1637 (multiplicity 2)
Mg 0.5000 0.0000 0.6381 (multiplicity 2)
Mg 0.5000 0.2439 0.3993 (multiplicity 4)
Si 0.0000 0.0000 0.4669 (multiplicity 2)

Principal peaks in the range 10° ≤ 2θ ≤ 80°, in order of rising 2θ:
| d/Å | Position (°2θ) | intensity |
| --- | --- | --- |
| 2.732 | 32.78 | 31 |
| 2.574 | 34.85 | 68 |
| 2.517 | 35.67 | 42 |
| 2.401 | 37.46 | 100 |
| 1.851 | 49.23 | 19 |
| 1.394 | 67.16 | 19 |